1.
Simulated powder diffractogram of Pm3Nd2Pb6 for a wavelength of 1.5418 Å, from a structure optimized by DFT (GGA-PBE).

The 10 most intense peaks (2θ from 5° to 70°), by angle:
d_spacing	I_rel	hkl
11.229	30	0 0 2
3.998	38	1 1 2
3.025	100	2 0 0
2.834	56	1 0 7
2.817	28	1 1 6
2.351	24	2 0 6
2.139	38	2 2 0
2.068	46	2 1 7
1.703	19	3 1 6
1.417	19	2 0 14

Crystal structure
```
data_Pm3Nd2Pb6
_chemical_formula_sum 'Pm6 Nd4 Pb12'
_space_group_name_H-M_alt 'I 4/m m m'
_space_group_IT_number 139
_space_group_name_Hall '-I 4 2'
_cell_length_a 6.0508
_cell_length_b 6.0508
_cell_length_c 22.4573
_cell_angle_alpha 90.00
_cell_angle_beta 90.00
_cell_angle_gamma 90.00
loop_
_atom_site_label
_atom_site_fract_x
_atom_site_fract_y
_atom_site_fract_z
Pm1 0.0000 0.0000 0.0000
Pm2 0.0000 0.0000 0.1479
Nd1 0.0000 0.0000 0.4239
Pb1 0.0000 0.0000 0.2873
Pb2 0.0000 0.5000 0.0755
```

---

2.
Simulated powder diffractogram of V3MoH4 for a wavelength of 1.5418 Å, from a structure optimized by DFT (GGA-PBE).

The 10 most intense peaks (2θ from 5° to 70°), by angle:
d_spacing	I_rel	hkl
3.722	6	1 0 1
3.705	6	1 1 0
3.222	4	0 1 1
3.204	2	2 0 0
2.286	21	0 0 2
2.272	100	0 2 0
1.946	2	1 1 2
1.937	3	3 0 1
1.611	13	0 2 2
1.602	6	4 0 0

Crystal structure
```
data_V3MoH4
_chemical_formula_sum 'V6 Mo2 H8'
_space_group_name_H-M_alt 'P m n 21'
_space_group_IT_number 31
_cell_length_a 6.4082
_cell_length_b 4.5414
_cell_length_c 4.5728
_cell_angle_alpha 90.00
_cell_angle_beta 90.00
_cell_angle_gamma 90.00
loop_
_space_group_symop_operation_xyz
'x,y,z'
'-x+1/2,-y,z+1/2'
'-x,y,z'
'x+1/2,-y,z+1/2'
loop_
_atom_site_label
_atom_site_fract_x
_atom_site_fract_y
_atom_site_fract_z
V1 0.0000 0.2420 0.0000
V2 0.2494 0.7440 0.0007
Mo1 0.0000 0.7507 0.5012
H1 0.0000 0.3647 0.3682
H2 0.0000 0.6140 0.8847
H3 0.2437 0.1138 0.8659
```

---

3.
Simulated powder diffractogram of CeMg2ReO8 for a wavelength of 1.5418 Å, from a structure optimized by DFT (GGA-PBE).

The 10 most intense peaks (2θ from 5° to 70°), by angle:
d_spacing	I_rel	hkl
4.723	100	1 1 0
3.399	47	0 2 0
3.311	22	0 0 2
3.284	42	2 0 0
2.711	73	1 1 2
2.372	33	0 2 2
2.084	19	3 1 0
1.798	32	1 3 2
1.763	30	3 1 2
1.422	19	3 3 2

Crystal structure
```
data_CeMg2ReO8
_chemical_formula_sum 'Ce2 Mg4 Re2 O16'
_space_group_name_H-M_alt 'C m m m'
_space_group_IT_number 65
_space_group_name_Hall '-C 2 2'
_cell_length_a 6.5671
_cell_length_b 6.7979
_cell_length_c 6.6217
_cell_angle_alpha 90.00
_cell_angle_beta 90.00
_cell_angle_gamma 90.00
loop_
_atom_site_label
_atom_site_fract_x
_atom_site_fract_y
_atom_site_fract_z
Ce1 0.0000 0.0000 0.0000
Mg1 0.0000 0.5000 0.2644
Re1 0.0000 0.0000 0.5000
O1 0.0000 0.1916 0.2906
O2 0.1846 0.5000 0.0000
O3 0.2139 0.5000 0.5000
```